(1)
Diffraction record for CaPuSeO2. The XRD peak list is theoretical, not measured: it uses a structure optimized by DFT (PBE) and Cu Kα, 1.54184 Å.
Neutral-atom scattering factors, no anomalous dispersion.

```
data_CaPuSeO2
_space_group_name_H-M_alt 'I 4 m m'
_space_group_IT_number 107
_space_group_name_Hall 'I 4 -2'
_cell_length_a 3.8571
_cell_length_b 3.8571
_cell_length_c 12.1731
_cell_angle_alpha 90.00
_cell_angle_beta 90.00
_cell_angle_gamma 90.00
loop_
_atom_site_label
_atom_site_type_symbol
_atom_site_fract_x
_atom_site_fract_y
_atom_site_fract_z
_atom_site_occupancy
Ca1 Ca 0.0000 0.0000 0.0000 1
Pu1 Pu 0.0000 0.0000 0.3091 1
Se1 Se 0.0000 0.0000 0.6552 1
O1 O 0.0000 0.5000 0.3924 1
```

Most intense lines, 2θ = 10–80°, most intense first:
h k l, 2theta, I_rel
1 0 3, 32.01, 100.0
1 0 1, 24.21, 48.5
0 0 2, 14.55, 46.5
2 1 3, 58.12, 42.1
1 1 0, 32.84, 39.2
1 1 6, 56.53, 26.4
2 0 0, 47.12, 20.6
0 0 6, 44.63, 20.2
1 1 2, 36.09, 18.0
1 0 5, 43.98, 13.3

(2)
Diffraction record for CaSm2PuO8. The XRD peak list is theoretical, not measured: it uses a structure optimized by DFT (PBE) and Cu Kα, 1.54184 Å.
Neutral-atom scattering factors, no anomalous dispersion.

```
data_CaSm2PuO8
_space_group_name_H-M_alt 'P 1 2/m 1'
_space_group_IT_number 10
_cell_length_a 4.1027
_cell_length_b 7.5645
_cell_length_c 5.3832
_cell_angle_alpha 90.00
_cell_angle_beta 96.40
_cell_angle_gamma 90.00
loop_
_space_group_symop_operation_xyz
'x,y,z'
'-x,-y,-z'
'-x,y,-z'
'x,-y,z'
loop_
_atom_site_label
_atom_site_type_symbol
_atom_site_fract_x
_atom_site_fract_y
_atom_site_fract_z
_atom_site_occupancy
Ca1 Ca 0.0000 0.0000 0.0000 1
Sm1 Sm 0.5000 0.2475 0.5000 1
Pu1 Pu 0.0000 0.5000 0.0000 1
O1 O 0.0457 0.2916 0.7640 1
O2 O 0.4332 0.5000 0.2194 1
O3 O 0.4922 0.0000 0.2556 1
```

Most intense lines, 2θ = 10–80°, most intense first:
h k l, 2theta, I_rel
1 0 1, 28.93, 100.0
1 0 -1, 25.96, 43.1
0 1 0, 11.70, 31.9
1 2 0, 32.28, 30.9
1 2 -2, 45.29, 28.1
1 2 2, 49.08, 21.1
0 2 3, 57.13, 19.6
0 1 1, 20.33, 19.2
2 0 0, 44.44, 14.4
1 1 0, 24.81, 13.4

Please write out number 1 again, unchanged.
Diffraction record for CaPuSeO2. The XRD peak list is theoretical, not measured: it uses a structure optimized by DFT (PBE) and Cu Kα, 1.54184 Å.
Neutral-atom scattering factors, no anomalous dispersion.

```
data_CaPuSeO2
_space_group_name_H-M_alt 'I 4 m m'
_space_group_IT_number 107
_space_group_name_Hall 'I 4 -2'
_cell_length_a 3.8571
_cell_length_b 3.8571
_cell_length_c 12.1731
_cell_angle_alpha 90.00
_cell_angle_beta 90.00
_cell_angle_gamma 90.00
loop_
_atom_site_label
_atom_site_type_symbol
_atom_site_fract_x
_atom_site_fract_y
_atom_site_fract_z
_atom_site_occupancy
Ca1 Ca 0.0000 0.0000 0.0000 1
Pu1 Pu 0.0000 0.0000 0.3091 1
Se1 Se 0.0000 0.0000 0.6552 1
O1 O 0.0000 0.5000 0.3924 1
```

Most intense lines, 2θ = 10–80°, most intense first:
h k l, 2theta, I_rel
1 0 3, 32.01, 100.0
1 0 1, 24.21, 48.5
0 0 2, 14.55, 46.5
2 1 3, 58.12, 42.1
1 1 0, 32.84, 39.2
1 1 6, 56.53, 26.4
2 0 0, 47.12, 20.6
0 0 6, 44.63, 20.2
1 1 2, 36.09, 18.0
1 0 5, 43.98, 13.3

What did the first record say?
Diffraction record for CaPuSeO2. The XRD peak list is theoretical, not measured: it uses a structure optimized by DFT (PBE) and Cu Kα, 1.54184 Å.
Neutral-atom scattering factors, no anomalous dispersion.

```
data_CaPuSeO2
_space_group_name_H-M_alt 'I 4 m m'
_space_group_IT_number 107
_space_group_name_Hall 'I 4 -2'
_cell_length_a 3.8571
_cell_length_b 3.8571
_cell_length_c 12.1731
_cell_angle_alpha 90.00
_cell_angle_beta 90.00
_cell_angle_gamma 90.00
loop_
_atom_site_label
_atom_site_type_symbol
_atom_site_fract_x
_atom_site_fract_y
_atom_site_fract_z
_atom_site_occupancy
Ca1 Ca 0.0000 0.0000 0.0000 1
Pu1 Pu 0.0000 0.0000 0.3091 1
Se1 Se 0.0000 0.0000 0.6552 1
O1 O 0.0000 0.5000 0.3924 1
```

Most intense lines, 2θ = 10–80°, most intense first:
h k l, 2theta, I_rel
1 0 3, 32.01, 100.0
1 0 1, 24.21, 48.5
0 0 2, 14.55, 46.5
2 1 3, 58.12, 42.1
1 1 0, 32.84, 39.2
1 1 6, 56.53, 26.4
2 0 0, 47.12, 20.6
0 0 6, 44.63, 20.2
1 1 2, 36.09, 18.0
1 0 5, 43.98, 13.3

Question: Number 1 is which compound?
Answer: CaPuSeO2